(1)
Calculated powder diffraction line list of Sm3PbC for Cu Kα, from a cell relaxed with GGA-PBE.
Intensities are scaled so that the largest is 100.

Most intense lines, 5° ≤ 2θ ≤ 70°, in order of falling intensity:
- (1 0 0), 15.26 deg, intensity 100
- (2 0 0), 30.79 deg, intensity 72
- (2 1 0), 34.53 deg, intensity 57
- (2 2 0), 44.10 deg, intensity 54
- (3 0 0), 46.93 deg, intensity 31
- (1 1 1), 26.58 deg, intensity 21
- (2 2 2), 54.75 deg, intensity 19
- (4 1 0), 66.36 deg, intensity 18
- (3 2 0), 57.19 deg, intensity 14
- (3 1 1), 52.24 deg, intensity 9

Crystal structure
```
Sm3PbC
1.0
5.808 0.000 0.000
0.000 5.808 0.000
0.000 0.000 5.808
Sm Pb C
3 1 1
Cartesian
0.000 0.000 2.904 Sm
0.000 2.904 0.000 Sm
2.904 0.000 0.000 Sm
0.000 0.000 0.000 Pb
2.904 2.904 2.904 C
```

=====

(2)
Calculated powder diffraction line list of Tb3PbC for Cu Kα, from a cell relaxed with GGA-PBE.
Intensities are scaled so that the largest is 100.

Most intense lines, 5° ≤ 2θ ≤ 70°, in order of falling intensity:
- (1 0 0), 15.53 deg, intensity 100
- (2 0 0), 31.35 deg, intensity 74
- (2 1 0), 35.16 deg, intensity 57
- (2 2 0), 44.93 deg, intensity 55
- (3 0 0), 47.82 deg, intensity 31
- (1 1 1), 27.06 deg, intensity 24
- (2 2 2), 55.81 deg, intensity 19
- (4 1 0), 67.70 deg, intensity 18
- (3 2 0), 58.30 deg, intensity 14
- (3 1 1), 53.24 deg, intensity 11

Crystal structure
```
Tb3PbC
1.0
5.707 0.000 0.000
0.000 5.707 0.000
0.000 0.000 5.707
Tb Pb C
3 1 1
Cartesian
0.000 0.000 2.853 Tb
0.000 2.853 0.000 Tb
2.853 0.000 0.000 Tb
0.000 0.000 0.000 Pb
2.853 2.853 2.853 C
```

=====

(3)
Calculated powder diffraction line list of Ti2PbC for Cu Kα, from a cell relaxed with GGA-PBE.
Intensities are scaled so that the largest is 100.

Most intense lines, 5° ≤ 2θ ≤ 70°, in order of falling intensity:
- (1 0 3), 37.47 deg, intensity 100
- (0 0 2), 12.59 deg, intensity 56
- (1 0 1), 32.67 deg, intensity 42
- (0 0 4), 25.34 deg, intensity 22
- (1 0 0), 32.03 deg, intensity 22
- (1 1 0), 57.09 deg, intensity 20
- (0 0 6), 38.41 deg, intensity 19
- (1 0 9), 68.85 deg, intensity 16
- (1 0 6), 50.85 deg, intensity 15
- (1 0 2), 34.54 deg, intensity 14

Crystal structure
```
Ti2PbC
1.0
3.227 0.000 0.000
-1.613 2.794 0.000
0.000 0.000 14.060
Ti Pb C
4 2 2
Cartesian
0.000 1.863 1.080 Ti
0.000 1.863 5.950 Ti
1.613 0.931 8.110 Ti
1.613 0.931 12.981 Ti
0.000 1.863 10.545 Pb
1.613 0.931 3.515 Pb
0.000 0.000 0.000 C
0.000 0.000 7.030 C
```

=====

(4)
Calculated powder diffraction line list of Y3PbC for Cu Kα, from a cell relaxed with GGA-PBE.
Intensities are scaled so that the largest is 100.

Most intense lines, 5° ≤ 2θ ≤ 70°, in order of falling intensity:
- (1 1 1), 31.49 deg, intensity 100
- (2 0 0), 36.53 deg, intensity 55
- (3 1 1), 62.62 deg, intensity 42
- (2 2 0), 52.61 deg, intensity 38
- (1 1 0), 25.60 deg, intensity 18
- (2 2 2), 65.75 deg, intensity 13
- (1 0 0), 18.03 deg, intensity 12
- (2 1 1), 45.14 deg, intensity 8
- (2 1 0), 41.02 deg, intensity 8
- (3 0 0), 56.08 deg, intensity 4

Crystal structure
```
Y3PbC
1.0
4.920 0.000 0.000
0.000 4.920 0.000
0.000 0.000 4.920
Y Pb C
3 1 1
Cartesian
0.000 0.000 2.460 Y
0.000 2.460 0.000 Y
2.460 0.000 0.000 Y
2.460 2.460 2.460 Pb
0.000 0.000 0.000 C
```